This entry pairs a crystal structure of MgTe2Pd8 with its theoretical PXRD pattern. Radiation: Cu Kα. Structure: the PBE geometry in Alexandria.
Peak positions follow from Bragg's law for the DFT cell and can differ from measured ones.

Most intense lines, 2θ = 10–80°, in order of rising 2θ:
| two_theta | I (rel.) | hkl |
| --- | --- | --- |
| 36.38 | 66 | 2 0 -1 |
| 37.53 | 43 | 0 1 -3 |
| 37.90 | 42 | 1 0 -3 |
| 38.91 | 68 | 2 0 0 |
| 39.13 | 74 | 1 2 -2 |
| 39.35 | 100 | -1 2 1 |
| 40.08 | 59 | 0 0 3 |
| 40.95 | 95 | 1 -2 2 |
| 45.41 | 50 | 2 0 -3 |
| 73.05 | 32 | 2 -4 1 |

```
data_MgTe2Pd8
_chemical_formula_sum 'Mg1 Te2 Pd8'
_space_group_name_H-M_alt 'P 1'
_space_group_IT_number 1
_cell_length_a 4.9695
_cell_length_b 5.7233
_cell_length_c 7.5473
_cell_angle_alpha 107.50
_cell_angle_beta 107.19
_cell_angle_gamma 96.48
loop_
_space_group_symop_operation_xyz
'x,y,z'
loop_
_atom_site_label
_atom_site_type_symbol
_atom_site_fract_x
_atom_site_fract_y
_atom_site_fract_z
Mg1 Mg 0.0000 0.0000 0.0000
Te1 Te 0.2848 0.3646 0.6803
Te2 Te 0.7174 0.6366 0.3193
Pd1 Pd 0.1940 0.9490 0.3742
Pd2 Pd 0.2093 0.4351 0.3333
Pd3 Pd 0.2688 0.6316 0.0316
Pd4 Pd 0.3710 0.8748 0.7654
Pd5 Pd 0.6311 0.1264 0.2344
Pd6 Pd 0.7335 0.3695 0.9681
Pd7 Pd 0.7928 0.5658 0.6661
Pd8 Pd 0.8085 0.0520 0.6257
```

=====

This entry pairs a crystal structure of MgTePd14 with its theoretical PXRD pattern. Radiation: Cu Kα. Structure: the PBE geometry in Alexandria.
Peak positions follow from Bragg's law for the DFT cell and can differ from measured ones.

Most intense lines, 2θ = 10–80°, in order of rising 2θ:
| two_theta | I (rel.) | hkl |
| --- | --- | --- |
| 11.37 | 1 | 0 0 1 |
| 15.56 | 2 | 1 0 0 |
| 19.31 | 2 | 1 0 1 |
| 27.77 | 1 | 1 0 2 |
| 39.20 | 100 | 2 0 2 |
| 45.02 | 34 | 2 2 0 |
| 46.69 | 15 | 0 0 4 |
| 65.56 | 11 | 4 0 0 |
| 66.87 | 20 | 2 2 4 |
| 79.12 | 25 | 4 2 2 |

```
data_MgTePd14
_chemical_formula_sum 'Mg1 Te1 Pd14'
_space_group_name_H-M_alt 'P 4/m m m'
_space_group_IT_number 123
_space_group_name_Hall '-P 4 2'
_cell_length_a 5.6957
_cell_length_b 5.6957
_cell_length_c 7.7818
_cell_angle_alpha 90.00
_cell_angle_beta 90.00
_cell_angle_gamma 90.00
loop_
_atom_site_label
_atom_site_type_symbol
_atom_site_fract_x
_atom_site_fract_y
_atom_site_fract_z
Mg1 Mg 0.0000 0.0000 0.0000
Te1 Te 0.5000 0.5000 0.0000
Pd1 Pd 0.0000 0.0000 0.5000
Pd2 Pd 0.0000 0.5000 0.0000
Pd3 Pd 0.0000 0.5000 0.5000
Pd4 Pd 0.2492 0.2492 0.2503
Pd5 Pd 0.5000 0.5000 0.5000
```

=====

This entry pairs a crystal structure of MgTePd4 with its theoretical PXRD pattern. Radiation: Cu Kα. Structure: the PBE geometry in Alexandria.
Peak positions follow from Bragg's law for the DFT cell and can differ from measured ones.

Most intense lines, 2θ = 10–80°, in order of rising 2θ:
| two_theta | I (rel.) | hkl |
| --- | --- | --- |
| 20.86 | 11 | 0 1 1 |
| 36.01 | 13 | 0 3 1 |
| 36.81 | 21 | 0 0 2 |
| 37.91 | 36 | 2 0 0 |
| 40.87 | 100 | 1 3 1 |
| 41.59 | 26 | 1 0 2 |
| 53.87 | 14 | 2 0 2 |
| 65.78 | 11 | 0 3 3 |
| 70.48 | 19 | 3 3 1 |
| 78.51 | 13 | 2 3 3 |

```
data_MgTePd4
_chemical_formula_sum 'Mg2 Te2 Pd8'
_space_group_name_H-M_alt 'A m m 2'
_space_group_IT_number 38
_cell_length_a 4.7470
_cell_length_b 8.7023
_cell_length_c 4.8835
_cell_angle_alpha 90.00
_cell_angle_beta 90.00
_cell_angle_gamma 90.00
loop_
_space_group_symop_operation_xyz
'x,y,z'
'-x,-y,z'
'-x,y,z'
'x,-y,z'
'x,y+1/2,z+1/2'
'-x,-y+1/2,z+1/2'
'-x,y+1/2,z+1/2'
'x,-y+1/2,z+1/2'
loop_
_atom_site_label
_atom_site_type_symbol
_atom_site_fract_x
_atom_site_fract_y
_atom_site_fract_z
Mg1 Mg 0.0000 0.0000 0.0000
Te1 Te 0.5000 0.0000 0.4115
Pd1 Pd 0.0000 0.1642 0.5180
Pd2 Pd 0.5000 0.1635 0.8908
```

=====

This entry pairs a crystal structure of MgTe3Pd2 with its theoretical PXRD pattern. Radiation: Cu Kα. Structure: the PBE geometry in Alexandria.
Peak positions follow from Bragg's law for the DFT cell and can differ from measured ones.

Most intense lines, 2θ = 10–80°, in order of rising 2θ:
| two_theta | I (rel.) | hkl |
| --- | --- | --- |
| 17.05 | 15 | 0 0 1 |
| 21.27 | 15 | 0 1 1 |
| 21.96 | 6 | 1 1 0 |
| 30.76 | 100 | 0 2 1 |
| 43.32 | 39 | 2 0 2 |
| 44.78 | 38 | 2 2 0 |
| 55.30 | 18 | 4 0 1 |
| 59.48 | 12 | 2 0 3 |
| 64.06 | 12 | 0 4 2 |
| 73.79 | 14 | 2 4 1 |

```
data_MgTe3Pd2
_chemical_formula_sum 'Mg2 Te6 Pd4'
_space_group_name_H-M_alt 'P -3 m 1'
_space_group_IT_number 164
_space_group_name_Hall '-P 3 2"'
_cell_length_a 8.0962
_cell_length_b 8.0962
_cell_length_c 5.2017
_cell_angle_alpha 90.00
_cell_angle_beta 90.00
_cell_angle_gamma 120.00
loop_
_atom_site_label
_atom_site_type_symbol
_atom_site_fract_x
_atom_site_fract_y
_atom_site_fract_z
Mg1 Mg 0.3333 0.6667 0.1932
Te1 Te 0.1751 0.3501 0.7583
Pd1 Pd 0.0000 0.0000 0.5000
Pd2 Pd 0.0000 0.5000 0.5000
```

=====

This entry pairs a crystal structure of ThMgPd with its theoretical PXRD pattern. Radiation: Cu Kα. Structure: the PBE geometry in Alexandria.
Peak positions follow from Bragg's law for the DFT cell and can differ from measured ones.

Most intense lines, 2θ = 10–80°, in order of rising 2θ:
| two_theta | I (rel.) | hkl |
| --- | --- | --- |
| 18.16 | 60 | 1 0 -2 |
| 21.40 | 85 | 0 1 1 |
| 25.27 | 59 | 2 0 1 |
| 31.49 | 73 | 1 1 -3 |
| 31.70 | 100 | 2 1 0 |
| 31.84 | 75 | 1 1 3 |
| 34.51 | 76 | 2 1 -2 |
| 34.70 | 75 | 0 1 4 |
| 34.94 | 69 | 2 1 2 |
| 41.13 | 84 | 0 2 0 |

```
data_ThMgPd
_chemical_formula_sum 'Th6 Mg6 Pd6'
_space_group_name_H-M_alt 'P 1 21/m 1'
_space_group_IT_number 11
_cell_length_a 7.3791
_cell_length_b 4.3893
_cell_length_c 12.7986
_cell_angle_alpha 90.00
_cell_angle_beta 91.22
_cell_angle_gamma 90.00
loop_
_space_group_symop_operation_xyz
'x,y,z'
'-x,-y,-z'
'-x,y+1/2,-z'
'x,-y+1/2,z'
loop_
_atom_site_label
_atom_site_type_symbol
_atom_site_fract_x
_atom_site_fract_y
_atom_site_fract_z
Th1 Th 0.0393 0.2500 0.2850
Th2 Th 0.3460 0.7500 0.9151
Th3 Th 0.4609 0.7500 0.6235
Mg1 Mg 0.0020 0.7500 0.0819
Mg2 Mg 0.1339 0.2500 0.5393
Mg3 Mg 0.3671 0.7500 0.2009
Pd1 Pd 0.2481 0.2500 0.0860
Pd2 Pd 0.2492 0.2500 0.7525
Pd3 Pd 0.2516 0.7500 0.4171
```

=====

This entry pairs a crystal structure of ThMg2Pd6 with its theoretical PXRD pattern. Radiation: Cu Kα. Structure: the PBE geometry in Alexandria.
Peak positions follow from Bragg's law for the DFT cell and can differ from measured ones.

Most intense lines, 2θ = 10–80°, in order of rising 2θ:
| two_theta | I (rel.) | hkl |
| --- | --- | --- |
| 15.09 | 47 | 0 1 0 |
| 21.20 | 17 | 1 1 1 |
| 29.52 | 17 | 1 -1 0 |
| 29.60 | 17 | 1 2 1 |
| 31.39 | 57 | 0 2 1 |
| 31.76 | 27 | 1 -1 1 |
| 38.25 | 63 | 2 1 1 |
| 40.39 | 82 | 1 2 -1 |
| 42.30 | 34 | 1 0 -2 |
| 42.44 | 100 | 1 1 3 |

```
data_ThMg2Pd6
_chemical_formula_sum 'Th1 Mg2 Pd6'
_space_group_name_H-M_alt 'P -1'
_space_group_IT_number 2
_cell_length_a 4.7055
_cell_length_b 6.4131
_cell_length_c 6.4238
_cell_angle_alpha 72.73
_cell_angle_beta 68.71
_cell_angle_gamma 68.57
loop_
_space_group_symop_operation_xyz
'x,y,z'
'-x,-y,-z'
loop_
_atom_site_label
_atom_site_type_symbol
_atom_site_fract_x
_atom_site_fract_y
_atom_site_fract_z
Th1 Th 0.0000 0.0000 0.0000
Mg1 Mg 0.3454 0.6547 0.6542
Pd1 Pd 0.1788 0.1273 0.5151
Pd2 Pd 0.1795 0.5144 0.1271
Pd3 Pd 0.4998 0.2077 0.7922
```

=====

This entry pairs a crystal structure of Th3Mg5Pd2 with its theoretical PXRD pattern. Radiation: Cu Kα. Structure: the PBE geometry in Alexandria.
Peak positions follow from Bragg's law for the DFT cell and can differ from measured ones.

Most intense lines, 2θ = 10–80°, in order of rising 2θ:
| two_theta | I (rel.) | hkl |
| --- | --- | --- |
| 10.08 | 99 | 1 1 0 |
| 20.23 | 37 | 2 2 0 |
| 20.72 | 27 | 1 2 1 |
| 29.76 | 67 | 3 2 1 |
| 30.55 | 22 | 3 3 0 |
| 31.38 | 100 | 2 0 2 |
| 35.35 | 26 | 1 3 2 |
| 38.39 | 22 | 3 4 1 |
| 39.21 | 36 | 0 4 2 |
| 42.81 | 28 | 5 2 1 |

```
data_Th3Mg5Pd2
_chemical_formula_sum 'Th12 Mg20 Pd8'
_space_group_name_H-M_alt 'I b a m'
_space_group_IT_number 72
_space_group_name_Hall '-I 2 2c'
_cell_length_a 11.8935
_cell_length_b 13.0132
_cell_length_c 6.4907
_cell_angle_alpha 90.00
_cell_angle_beta 90.00
_cell_angle_gamma 90.00
loop_
_atom_site_label
_atom_site_type_symbol
_atom_site_fract_x
_atom_site_fract_y
_atom_site_fract_z
Th1 Th 0.0000 0.0000 0.2500
Th2 Th 0.2393 0.1565 0.0000
Mg1 Mg 0.0000 0.2711 0.2500
Mg2 Mg 0.0000 0.5000 0.2500
Mg3 Mg 0.1739 0.4118 0.0000
Pd1 Pd 0.1263 0.1542 0.5000
```

=====

This entry pairs a crystal structure of Th3Mg2Pd6 with its theoretical PXRD pattern. Radiation: Cu Kα. Structure: the PBE geometry in Alexandria.
Peak positions follow from Bragg's law for the DFT cell and can differ from measured ones.

Most intense lines, 2θ = 10–80°, in order of rising 2θ:
| two_theta | I (rel.) | hkl |
| --- | --- | --- |
| 26.00 | 14 | 2 2 0 |
| 29.13 | 27 | 3 1 0 |
| 31.98 | 24 | 2 2 2 |
| 34.62 | 27 | 3 2 1 |
| 39.44 | 100 | 3 3 0 |
| 51.65 | 16 | 5 2 1 |
| 57.00 | 14 | 6 0 0 |
| 58.71 | 17 | 5 3 2 |
| 63.68 | 13 | 6 2 2 |
| 71.52 | 27 | 6 3 3 |

```
data_Th3Mg2Pd6
_chemical_formula_sum 'Th12 Mg8 Pd24'
_space_group_name_H-M_alt 'I m -3 m'
_space_group_IT_number 229
_space_group_name_Hall '-I 4 2 3'
_cell_length_a 9.6935
_cell_length_b 9.6935
_cell_length_c 9.6935
_cell_angle_alpha 90.00
_cell_angle_beta 90.00
_cell_angle_gamma 90.00
loop_
_atom_site_label
_atom_site_type_symbol
_atom_site_fract_x
_atom_site_fract_y
_atom_site_fract_z
Th1 Th 0.0000 0.0000 0.2869
Mg1 Mg 0.2500 0.2500 0.2500
Pd1 Pd 0.0000 0.3415 0.3415
```